La2Dy2Er15: calculated powder diffractogram (Cu Kα, 1.54184 Å), based on DFT lattice parameters and positions (PBE).
Lines closer than 0.1° are merged.

Principal peaks in the range 2θ from 5° to 70°, by angle:
| d (Å) | I (rel.) |
| --- | --- |
| 3.237 | 32 |
| 3.222 | 31 |
| 2.906 | 40 |
| 2.828 | 43 |
| 2.818 | 100 |
| 2.790 | 54 |
| 2.515 | 85 |
| 1.660 | 25 |
| 1.618 | 25 |
| 1.611 | 33 |

Cell and atoms:
```
La2Dy2Er15
1.0
5.580 3.222 5.812
-5.580 3.222 5.812
0.000 -6.443 5.812
La Dy Er
2 2 15
Cartesian
0.000 0.000 2.062
0.000 0.000 15.374
0.000 0.000 5.774
0.000 0.000 11.661
-5.580 0.000 8.718
-1.708 -3.485 5.812
-2.790 1.611 2.906
-3.872 0.264 5.812
-2.664 -1.538 8.241
1.708 -3.485 5.812
-2.164 3.222 5.812
0.000 -3.076 9.195
-2.664 1.538 9.195
2.790 1.611 2.906
2.664 -1.538 8.241
0.000 3.076 8.241
3.872 0.264 5.812
2.164 3.222 5.812
2.664 1.538 9.195
```

LaDy7Er3: calculated powder diffractogram (Cu Kα, 1.54184 Å), based on DFT lattice parameters and positions (PBE).
Lines closer than 0.1° are merged.

Principal peaks in the range 2θ from 5° to 70°, by angle:
| d (Å) | I (rel.) |
| --- | --- |
| 2.847 | 27 |
| 2.823 | 100 |
| 2.800 | 38 |
| 2.787 | 68 |
| 2.776 | 74 |
| 2.745 | 22 |
| 2.707 | 76 |
| 1.606 | 20 |
| 1.589 | 29 |
| 1.471 | 19 |

Cell and atoms:
```
LaDy7Er3
1.0
6.941 0.000 0.000
0.000 5.553 0.000
-3.217 0.000 9.299
La Dy Er
1 7 3
Cartesian
0.000 0.000 0.000
-1.609 0.000 4.650
-1.527 2.776 7.340
1.826 2.776 1.332
1.898 0.000 3.091
1.826 0.000 6.208
1.898 2.776 7.968
5.251 2.776 1.959
0.319 2.776 4.607
3.471 0.000 0.000
3.405 2.776 4.693
```

LaDy8Er6: calculated powder diffractogram (Cu Kα, 1.54184 Å), based on DFT lattice parameters and positions (PBE).
Lines closer than 0.1° are merged.

Principal peaks in the range 2θ from 5° to 70°, by angle:
| d (Å) | I (rel.) |
| --- | --- |
| 2.909 | 24 |
| 2.827 | 100 |
| 2.753 | 30 |
| 2.728 | 10 |
| 2.553 | 12 |
| 2.425 | 13 |
| 1.716 | 12 |
| 1.686 | 10 |
| 1.647 | 9 |
| 1.526 | 10 |

Cell and atoms:
```
LaDy8Er6
1.0
4.489 2.592 6.870
-4.489 2.592 6.870
0.000 -5.184 6.870
La Dy Er
1 8 6
Cartesian
0.000 0.000 0.000
-2.726 -1.716 10.827
-2.849 1.503 9.782
0.123 -3.219 9.782
0.000 0.000 8.719
0.000 0.000 11.891
-0.123 3.219 10.827
2.849 -1.503 10.827
2.726 1.716 9.782
-1.938 0.417 6.030
0.608 -1.887 6.030
-1.330 -1.470 14.579
1.330 1.470 6.030
-0.608 1.887 14.579
1.938 -0.417 14.579
```

La4Dy8Er3: calculated powder diffractogram (Cu Kα, 1.54184 Å), based on DFT lattice parameters and positions (PBE).
Lines closer than 0.1° are merged.

Principal peaks in the range 2θ from 5° to 70°, by angle:
| d (Å) | I (rel.) |
| --- | --- |
| 3.218 | 36 |
| 2.943 | 51 |
| 2.928 | 100 |
| 2.821 | 32 |
| 2.335 | 14 |
| 2.169 | 46 |
| 2.165 | 21 |
| 1.698 | 11 |
| 1.412 | 10 |
| 1.410 | 20 |

Cell and atoms:
```
La4Dy8Er3
1.0
6.751 -6.436 0.000
6.751 6.436 0.000
-3.390 0.000 5.885
La Dy Er
4 8 3
Cartesian
0.000 0.000 0.000
-1.695 0.000 2.943
3.376 3.218 0.000
3.376 -3.218 0.000
6.751 3.135 0.000
1.881 0.000 3.029
3.552 0.000 0.250
5.057 1.759 2.943
5.057 -1.759 2.943
6.561 0.000 5.635
8.233 0.000 2.856
6.751 -3.135 0.000
1.681 3.218 2.943
1.681 -3.218 2.943
6.751 0.000 0.000
```

La2Dy3Er9: calculated powder diffractogram (Cu Kα, 1.54184 Å), based on DFT lattice parameters and positions (PBE).
Lines closer than 0.1° are merged.

Principal peaks in the range 2θ from 5° to 70°, by angle:
| d (Å) | I (rel.) |
| --- | --- |
| 3.017 | 16 |
| 2.932 | 31 |
| 2.902 | 59 |
| 2.887 | 100 |
| 2.716 | 35 |
| 2.647 | 23 |
| 2.620 | 16 |
| 2.598 | 16 |
| 2.593 | 24 |
| 1.742 | 24 |

Cell and atoms:
```
La2Dy3Er9
1.0
5.352 0.000 0.000
-1.168 8.252 0.000
-1.944 -1.655 10.378
La Dy Er
2 3 9
Cartesian
-0.943 3.550 2.488
3.184 3.047 7.890
0.361 0.222 3.484
2.092 4.126 0.000
1.880 6.376 6.894
-0.976 6.628 0.698
-0.960 5.663 5.310
0.495 0.426 7.256
-0.462 5.741 8.965
1.121 3.299 5.189
2.703 0.856 1.413
1.746 6.171 3.122
3.201 0.934 5.068
3.217 -0.030 9.680
```

La2Dy3Er4: calculated powder diffractogram (Cu Kα, 1.54184 Å), based on DFT lattice parameters and positions (PBE).
Lines closer than 0.1° are merged.

Principal peaks in the range 2θ from 5° to 70°, by angle:
| d (Å) | I (rel.) |
| --- | --- |
| 3.345 | 33 |
| 3.054 | 24 |
| 2.889 | 59 |
| 2.875 | 100 |
| 2.850 | 23 |
| 2.745 | 94 |
| 2.590 | 39 |
| 1.727 | 22 |
| 1.712 | 20 |
| 1.671 | 24 |

Cell and atoms:
```
La2Dy3Er4
1.0
0.000 6.205 7.935
3.054 0.000 7.935
3.054 6.205 0.000
La Dy Er
2 3 4
Cartesian
3.054 6.205 1.824
3.054 6.205 14.046
1.527 3.102 0.000
1.527 3.102 7.935
3.054 6.205 7.935
3.054 4.423 4.950
3.054 7.987 4.950
3.054 4.423 10.919
3.054 7.987 10.919
```

La3Dy7Er2: calculated powder diffractogram (Cu Kα, 1.54184 Å), based on DFT lattice parameters and positions (PBE).
Lines closer than 0.1° are merged.

Principal peaks in the range 2θ from 5° to 70°, by angle:
| d (Å) | I (rel.) |
| --- | --- |
| 5.590 | 18 |
| 3.272 | 17 |
| 2.852 | 37 |
| 2.838 | 100 |
| 2.824 | 22 |
| 2.618 | 26 |
| 1.793 | 26 |
| 1.644 | 15 |
| 1.636 | 25 |
| 1.419 | 27 |

Cell and atoms:
```
La3Dy7Er2
1.0
3.272 1.889 11.409
-3.272 1.889 11.409
0.000 -3.778 11.409
La Dy Er
3 7 2
Cartesian
0.000 0.000 0.000
0.000 0.000 5.347
0.000 0.000 28.879
-1.638 -0.946 14.254
0.000 -1.891 19.972
-1.638 0.946 19.972
0.000 0.000 17.113
1.638 -0.946 14.254
0.000 1.891 14.254
1.638 0.946 19.972
0.000 0.000 11.406
0.000 0.000 22.820
```

La4DyEr2: calculated powder diffractogram (Cu Kα, 1.54184 Å), based on DFT lattice parameters and positions (PBE).
Lines closer than 0.1° are merged.

Principal peaks in the range 2θ from 5° to 70°, by angle:
| d (Å) | I (rel.) |
| --- | --- |
| 3.159 | 15 |
| 2.999 | 100 |
| 2.933 | 27 |
| 2.871 | 65 |
| 2.813 | 29 |
| 2.796 | 21 |
| 2.454 | 29 |
| 1.828 | 21 |
| 1.688 | 15 |
| 1.548 | 14 |

Cell and atoms:
```
La4DyEr2
1.0
3.262 -12.309 0.000
3.262 12.309 0.000
-3.259 0.000 6.041
La Dy Er
8 2 4
Cartesian
1.633 11.837 3.020
-0.002 5.686 4.334
1.832 4.839 1.594
1.841 1.309 2.733
0.211 -1.309 5.753
1.628 -5.686 1.314
0.202 -4.839 4.614
3.262 -11.837 0.000
0.207 9.231 5.181
1.836 -9.231 2.161
1.501 8.428 1.897
-0.128 2.279 5.444
1.501 -2.279 2.423
-0.128 -8.428 4.918
```